This entry pairs a crystal structure of Rb2HfNb3O12 with its calculated XRD peak list. Radiation: Cu Kα, 1.54184 Å. Structure: a PBE-relaxed structure.
Lines closer than 0.1° are merged.

Largest 10 diffraction maxima, in order of falling intensity, 10° ≤ 2θ ≤ 80°:
| 2theta | Rel. int. | hkl |
| --- | --- | --- |
| 27.55 | 100 | 1 1 3 |
| 28.80 | 47 | 0 0 6 |
| 47.92 | 39 | 2 2 0 |
| 14.28 | 38 | 1 0 1 |
| 43.80 | 33 | 3 0 3 |
| 66.93 | 24 | 1 4 3 |
| 56.88 | 20 | 0 4 2 |
| 56.17 | 15 | 0 1 11 |
| 23.43 | 14 | 1 1 0 |
| 76.89 | 9 | 3 1 11 |

abc: 7.5955 7.5955 18.5876
angles: 90.00 90.00 120.00
Space group R-3m (No. 166, hexagonal axes)
One atom of each set of equivalent atoms:
Rb  0.0000  0.0000  0.1264 (multiplicity 6)
Hf  0.0000  0.0000  0.5000 (multiplicity 3)
Nb  0.0000  0.5000  0.0000 (multiplicity 9)
O  0.0728  0.5364  0.1039 (multiplicity 18)
O  0.0838  0.5419  0.3521 (multiplicity 18)

***

This entry pairs a crystal structure of Pm3Nd7Ho2 with its calculated XRD peak list. Radiation: Cu Kα, 1.54184 Å. Structure: a PBE-relaxed structure.
Lines closer than 0.1° are merged.

Largest 10 diffraction maxima, in order of falling intensity, 10° ≤ 2θ ≤ 80°:
| 2theta | Rel. int. | hkl |
| --- | --- | --- |
| 30.57 | 100 | 1 1 2 |
| 30.07 | 96 | 2 0 -1 |
| 30.91 | 83 | 1 0 -6 |
| 32.47 | 48 | 1 0 6 |
| 33.96 | 42 | 1 1 -4 |
| 27.85 | 31 | 0 0 6 |
| 31.70 | 26 | 1 1 -3 |
| 53.02 | 26 | 3 1 1 |
| 50.29 | 21 | 0 2 0 |
| 59.72 | 19 | 2 2 -1 |

abc: 5.9630 3.6288 19.2549
angles: 90.00 93.24 90.00
Space group P2/m (No. 10)
One atom of each set of equivalent atoms:
Pm  0.0000  0.0000  0.0000 (multiplicity 1)
Pm  0.2831  0.5000  0.6336 (multiplicity 2)
Nd  0.1822  0.5000  0.1456 (multiplicity 2)
Nd  0.2429  0.0000  0.4647 (multiplicity 2)
Nd  0.3157  0.0000  0.8176 (multiplicity 2)
Nd  0.5000  0.5000  0.0000 (multiplicity 1)
Ho  0.2078  0.0000  0.2962 (multiplicity 2)

***

This entry pairs a crystal structure of TbDyHo2Te5 with its calculated XRD peak list. Radiation: Cu Kα, 1.54184 Å. Structure: a PBE-relaxed structure.
Lines closer than 0.1° are merged.

Largest 10 diffraction maxima, in order of falling intensity, 10° ≤ 2θ ≤ 80°:
| 2theta | Rel. int. | hkl |
| --- | --- | --- |
| 32.17 | 100 | 2 0 0 |
| 22.59 | 90 | 1 1 0 |
| 32.54 | 53 | 1 1 3 |
| 35.02 | 50 | 1 0 4 |
| 48.28 | 41 | 2 1 4 |
| 46.13 | 37 | 2 2 0 |
| 28.19 | 35 | 1 0 3 |
| 15.35 | 23 | 0 0 2 |
| 43.29 | 22 | 2 1 3 |
| 45.27 | 21 | 2 0 4 |

abc: 5.5656 5.5656 11.5441
angles: 90.00 90.00 90.00
Space group P4/mmm (No. 123)
One atom of each set of equivalent atoms:
Tb  0.0000  0.0000  0.0000 (multiplicity 1)
Dy  0.0000  0.0000  0.5000 (multiplicity 1)
Ho  0.5000  0.5000  0.1486 (multiplicity 2)
Te  0.0000  0.0000  0.2543 (multiplicity 2)
Te  0.0000  0.5000  0.0000 (multiplicity 2)
Te  0.5000  0.5000  0.5000 (multiplicity 1)

***

This entry pairs a crystal structure of Ba4GaBi4 with its calculated XRD peak list. Radiation: Cu Kα, 1.54184 Å. Structure: a PBE-relaxed structure.
Lines closer than 0.1° are merged.

Largest 10 diffraction maxima, in order of falling intensity, 10° ≤ 2θ ≤ 80°:
| 2theta | Rel. int. | hkl |
| --- | --- | --- |
| 24.62 | 100 | 2 2 0 |
| 34.80 | 77 | 2 2 2 |
| 35.09 | 49 | 4 0 0 |
| 24.21 | 39 | 0 0 2 |
| 43.09 | 32 | 4 0 2 |
| 62.77 | 25 | 6 2 2 |
| 56.93 | 24 | 6 2 0 |
| 50.46 | 23 | 4 4 0 |
| 31.21 | 17 | 2 1 2 |
| 53.74 | 17 | 2 1 4 |

abc: 10.2290 10.2290 7.3522
angles: 90.00 90.00 90.00
Space group P4_2/nmc (No. 137, origin choice 2)
One atom of each set of equivalent atoms:
Ba  0.0109  0.2500  0.0461 (multiplicity 8)
Ga  0.2500  0.7500  0.2500 (multiplicity 2)
Bi  0.0151  0.7500  0.4590 (multiplicity 8)

***

This entry pairs a crystal structure of Th3SnRh with its calculated XRD peak list. Radiation: Cu Kα, 1.54184 Å. Structure: a PBE-relaxed structure.
Lines closer than 0.1° are merged.

Largest 10 diffraction maxima, in order of falling intensity, 10° ≤ 2θ ≤ 80°:
| 2theta | Rel. int. | hkl |
| --- | --- | --- |
| 30.07 | 100 | 1 2 0 |
| 36.20 | 72 | 1 2 -2 |
| 32.75 | 52 | 2 0 -2 |
| 52.26 | 34 | 0 4 0 |
| 26.86 | 32 | 0 0 2 |
| 31.78 | 25 | 2 0 0 |
| 27.56 | 21 | 1 1 1 |
| 29.80 | 21 | 0 1 2 |
| 52.71 | 19 | 3 2 -2 |
| 37.39 | 17 | 1 0 -3 |

abc: 6.1123 6.9962 7.2045
angles: 90.00 112.88 90.00
Space group P2_1/m (No. 11)
One atom of each set of equivalent atoms:
Th  0.0141  0.2500  0.3254 (multiplicity 2)
Th  0.4385  0.5197  0.2110 (multiplicity 4)
Sn  0.0960  0.2500  0.8356 (multiplicity 2)
Rh  0.3166  0.7500  0.4951 (multiplicity 2)